This entry pairs a crystal structure of Li3VFe2O6 with its computed powder diffractogram. Radiation: Cu Ka. Structure: the GGA+U geometry in the Materials Project.
Intensities are scaled so that the largest is 100.

Most intense lines, 15 to 90 degrees two-theta, by angle:
| Position (°2θ) | I/Imax |
| --- | --- |
| 17.3 | 100 |
| 34.8 | 7 |
| 35.5 | 34 |
| 38.8 | 10 |
| 39.1 | 21 |
| 43.7 | 41 |
| 50.2 | 15 |
| 57.2 | 19 |
| 61.4 | 7 |
| 62.8 | 19 |
| 65.6 | 6 |
| 74.4 | 6 |

Cell: 5.2126 5.2126 10.2415 Å, 90.00 90.00 59.32°
Atoms (fractional coordinates):
Li 0.0874 0.9126 0.5000
Li 0.2508 0.4109 0.9990
Li 0.4109 0.2508 0.4990
Li 0.5891 0.7492 0.9990
Li 0.7492 0.5891 0.4990
Li 0.9126 0.0874 0.0000
V 0.2509 0.7491 0.7738
V 0.7491 0.2509 0.2738
Fe 0.0814 0.5845 0.2703
Fe 0.4155 0.9186 0.2703
Fe 0.5845 0.0814 0.7703
Fe 0.9186 0.4155 0.7703
O 0.0790 0.9210 0.1705
O 0.0850 0.2504 0.3872
O 0.2486 0.4181 0.6697
O 0.2504 0.0850 0.8872
O 0.4181 0.2486 0.1697
O 0.4199 0.5801 0.3866
O 0.5801 0.4199 0.8866
O 0.5819 0.7514 0.6697
O 0.7496 0.9150 0.3872
O 0.7514 0.5819 0.1697
O 0.9150 0.7496 0.8872
O 0.9210 0.0790 0.6705

---

This entry pairs a crystal structure of Li2V3FeO8 with its computed powder diffractogram. Radiation: Cu Ka. Structure: the GGA+U geometry in the Materials Project.
Intensities are scaled so that the largest is 100.

Most intense lines, 15 to 90 degrees two-theta, by angle:
| Position (°2θ) | I/Imax |
| --- | --- |
| 18.2 | 64 |
| 20.0 | 100 |
| 25.5 | 28 |
| 32.8 | 44 |
| 36.1 | 39 |
| 36.2 | 20 |
| 37.1 | 43 |
| 40.5 | 43 |
| 45.8 | 35 |
| 45.8 | 18 |
| 60.2 | 33 |
| 64.6 | 26 |

Cell: 5.7694 5.7694 9.7610 Å, 90.07 90.07 119.88°
Atoms (fractional coordinates):
Li 0.0013 0.9987 0.5000
Li 0.3332 0.6677 0.6010
Li 0.6677 0.3332 0.1010
Li 0.9987 0.0013 0.0000
V 0.1774 0.3520 0.2823
V 0.1772 0.8235 0.2788
V 0.3520 0.1774 0.7823
V 0.6495 0.8225 0.2790
V 0.8235 0.1772 0.7788
V 0.8225 0.6495 0.7790
Fe 0.3330 0.6688 0.9971
Fe 0.6688 0.3330 0.4971
O 0.0001 0.0013 0.6864
O 0.0013 0.0001 0.1864
O 0.0348 0.5169 0.1596
O 0.1642 0.3260 0.8880
O 0.1642 0.8406 0.8871
O 0.3260 0.1642 0.3880
O 0.3375 0.6707 0.4009
O 0.4839 0.5168 0.1593
O 0.4837 0.9670 0.1587
O 0.5169 0.0348 0.6596
O 0.5168 0.4839 0.6593
O 0.6707 0.3375 0.9009
O 0.6762 0.8400 0.8869
O 0.8400 0.6762 0.3869
O 0.8406 0.1642 0.3871
O 0.9670 0.4837 0.6587

---

This entry pairs a crystal structure of Li4V3FeO10 with its computed powder diffractogram. Radiation: Cu Ka. Structure: the GGA+U geometry in the Materials Project.
Intensities are scaled so that the largest is 100.

Most intense lines, 15 to 90 degrees two-theta, by angle:
| Position (°2θ) | I/Imax |
| --- | --- |
| 19.1 | 71 |
| 23.3 | 37 |
| 26.6 | 100 |
| 33.0 | 91 |
| 38.0 | 14 |
| 41.1 | 14 |
| 42.9 | 23 |
| 45.0 | 13 |
| 54.8 | 28 |
| 55.4 | 23 |
| 65.5 | 21 |
| 68.1 | 13 |

Cell: 6.6960 6.6960 4.6539 Å, 90.00 90.00 90.00°
Atoms (fractional coordinates):
Li 0.2390 0.2390 0.0000
Li 0.2390 0.7610 0.0000
Li 0.7610 0.2390 0.0000
Li 0.7610 0.7610 0.0000
V 0.0000 0.5000 0.3954
V 0.5000 0.0000 0.6046
V 0.5000 0.5000 0.5000
Fe 0.0000 0.0000 0.5000
O 0.0000 0.2291 0.2574
O 0.0000 0.5000 0.7583
O 0.0000 0.7709 0.2574
O 0.2291 0.0000 0.7426
O 0.2920 0.5000 0.2736
O 0.5000 0.0000 0.2417
O 0.5000 0.2920 0.7264
O 0.5000 0.7080 0.7264
O 0.7080 0.5000 0.2736
O 0.7709 0.0000 0.7426

---

This entry pairs a crystal structure of Li3V3FeO8 with its computed powder diffractogram. Radiation: Cu Ka. Structure: the GGA+U geometry in the Materials Project.
Intensities are scaled so that the largest is 100.

Most intense lines, 15 to 90 degrees two-theta, by angle:
| Position (°2θ) | I/Imax |
| --- | --- |
| 18.1 | 100 |
| 35.5 | 12 |
| 35.6 | 12 |
| 36.2 | 11 |
| 42.8 | 24 |
| 43.1 | 24 |
| 43.7 | 22 |
| 62.1 | 6 |
| 62.2 | 6 |
| 62.4 | 6 |
| 62.5 | 7 |
| 63.6 | 12 |

Cell: 5.8516 5.8599 5.9574 Å, 119.34 90.75 118.96°
Atoms (fractional coordinates):
Li 0.0000 0.0000 0.0000
Li 0.0000 0.5000 0.0000
Li 0.5000 0.0000 0.0000
V 0.0000 0.0000 0.5000
V 0.5000 0.0000 0.5000
V 0.5000 0.5000 0.5000
Fe 0.0000 0.5000 0.5000
O 0.2352 0.9637 0.7132
O 0.2392 0.4829 0.7164
O 0.2547 0.5056 0.2831
O 0.2630 0.0228 0.2695
O 0.7370 0.9772 0.7305
O 0.7453 0.4944 0.7169
O 0.7608 0.5171 0.2836
O 0.7648 0.0363 0.2868

---

This entry pairs a crystal structure of Li2VFeO5 with its computed powder diffractogram. Radiation: Cu Ka. Structure: the GGA+U geometry in the Materials Project.
Intensities are scaled so that the largest is 100.

Most intense lines, 15 to 90 degrees two-theta, by angle:
| Position (°2θ) | I/Imax |
| --- | --- |
| 19.1 | 64 |
| 23.4 | 49 |
| 26.8 | 100 |
| 33.2 | 91 |
| 38.3 | 14 |
| 43.2 | 26 |
| 43.5 | 16 |
| 55.3 | 30 |
| 55.7 | 20 |
| 59.3 | 18 |
| 62.5 | 14 |
| 66.0 | 21 |

Cell: 6.6459 6.6459 4.6383 Å, 90.00 90.00 90.00°
Atoms (fractional coordinates):
Li 0.0000 0.0000 0.0000
Li 0.0000 0.5000 0.0000
Li 0.5000 0.0000 0.0000
Li 0.5000 0.5000 0.0000
V 0.2500 0.2500 0.3730
V 0.7500 0.7500 0.6270
Fe 0.2500 0.7500 0.5000
Fe 0.7500 0.2500 0.5000
O 0.0228 0.7500 0.7451
O 0.2500 0.2500 0.7328
O 0.2500 0.5228 0.2549
O 0.2500 0.9772 0.2549
O 0.4772 0.7500 0.7451
O 0.5228 0.2500 0.2549
O 0.7500 0.0228 0.7451
O 0.7500 0.4772 0.7451
O 0.7500 0.7500 0.2672
O 0.9772 0.2500 0.2549

---

This entry pairs a crystal structure of Li2V3FeO8 with its computed powder diffractogram. Radiation: Cu Ka. Structure: the GGA+U geometry in the Materials Project.
Intensities are scaled so that the largest is 100.

Most intense lines, 15 to 90 degrees two-theta, by angle:
| Position (°2θ) | I/Imax |
| --- | --- |
| 18.2 | 100 |
| 35.0 | 16 |
| 35.3 | 31 |
| 36.8 | 8 |
| 42.5 | 20 |
| 43.0 | 38 |
| 46.8 | 6 |
| 56.2 | 6 |
| 56.8 | 12 |
| 62.0 | 23 |
| 62.4 | 11 |
| 78.4 | 9 |

Cell: 8.4231 8.4231 8.5148 Å, 90.00 90.00 90.00°
Atoms (fractional coordinates):
Li 0.0026 0.2511 0.0000
Li 0.2477 0.4943 0.7547
Li 0.2511 0.9974 0.2500
Li 0.4943 0.7523 0.0047
Li 0.5057 0.2477 0.5047
Li 0.7489 0.0026 0.7500
Li 0.7523 0.5057 0.2547
Li 0.9974 0.7489 0.5000
V 0.1219 0.8704 0.8757
V 0.1296 0.1219 0.6257
V 0.1308 0.3741 0.3793
V 0.3741 0.8692 0.6293
V 0.3761 0.3764 0.1289
V 0.3764 0.6239 0.3789
V 0.6236 0.3761 0.8789
V 0.6239 0.6236 0.6289
V 0.6259 0.1308 0.1293
V 0.8692 0.6259 0.8793
V 0.8704 0.8781 0.1257
V 0.8781 0.1296 0.3757
Fe 0.1250 0.6285 0.1303
Fe 0.3715 0.1250 0.8803
Fe 0.6285 0.8750 0.3803
Fe 0.8750 0.3715 0.6303
O 0.1011 0.8715 0.1120
O 0.1130 0.3593 0.6150
O 0.1157 0.1351 0.3912
O 0.1185 0.6477 0.8873
O 0.1285 0.1011 0.8620
O 0.1351 0.8843 0.6412
O 0.1398 0.6125 0.3673
O 0.1496 0.3824 0.1378
O 0.3523 0.1185 0.6373
O 0.3593 0.8870 0.8650
O 0.3641 0.6151 0.1449
O 0.3779 0.3961 0.3659
O 0.3824 0.8504 0.3878
O 0.3849 0.3641 0.8949
O 0.3875 0.1398 0.1173
O 0.3961 0.6221 0.6159
O 0.6039 0.3779 0.1159
O 0.6125 0.8602 0.6173
O 0.6151 0.6359 0.3949
O 0.6176 0.1496 0.8878
O 0.6221 0.6039 0.8659
O 0.6359 0.3849 0.6449
O 0.6407 0.1130 0.3650
O 0.6477 0.8815 0.1373
O 0.8504 0.6176 0.6378
O 0.8602 0.3875 0.8673
O 0.8649 0.1157 0.1412
O 0.8715 0.8989 0.3620
O 0.8815 0.3523 0.3873
O 0.8843 0.8649 0.8912
O 0.8870 0.6407 0.1150
O 0.8989 0.1285 0.6120

---

This entry pairs a crystal structure of Li2VFeO4 with its computed powder diffractogram. Radiation: Cu Ka. Structure: the GGA+U geometry in the Materials Project.
Intensities are scaled so that the largest is 100.

Most intense lines, 15 to 90 degrees two-theta, by angle:
| Position (°2θ) | I/Imax |
| --- | --- |
| 18.2 | 100 |
| 35.0 | 13 |
| 35.3 | 30 |
| 36.8 | 16 |
| 42.5 | 29 |
| 42.9 | 56 |
| 46.8 | 9 |
| 56.8 | 9 |
| 62.0 | 31 |
| 62.3 | 15 |
| 74.6 | 6 |
| 78.3 | 14 |

Cell: 5.9902 5.9902 5.9902 Å, 120.38 120.33 89.39°
Atoms (fractional coordinates):
Li 0.0000 0.0000 0.0000
Li 0.5000 0.0000 0.0000
Li 0.5000 0.0000 0.5000
Li 0.5000 0.5000 0.5000
V 0.0000 0.0000 0.5000
V 0.0000 0.5000 0.0000
Fe 0.0000 0.5000 0.5000
Fe 0.5000 0.5000 0.0000
O 0.2294 0.7410 0.4884
O 0.2392 0.2500 0.5108
O 0.2392 0.7284 0.9892
O 0.2473 0.2590 0.9884
O 0.7527 0.7410 0.0116
O 0.7608 0.2716 0.0108
O 0.7608 0.7500 0.4892
O 0.7706 0.2590 0.5116

---

This entry pairs a crystal structure of Li2V3FeO8 with its computed powder diffractogram. Radiation: Cu Ka. Structure: the GGA+U geometry in the Materials Project.
Intensities are scaled so that the largest is 100.

Most intense lines, 15 to 90 degrees two-theta, by angle:
| Position (°2θ) | I/Imax |
| --- | --- |
| 15.4 | 58 |
| 23.4 | 77 |
| 28.8 | 63 |
| 30.2 | 26 |
| 32.2 | 29 |
| 32.4 | 34 |
| 43.9 | 40 |
| 45.1 | 100 |
| 54.4 | 16 |
| 61.3 | 14 |
| 64.7 | 20 |
| 65.8 | 25 |

Cell: 6.3490 6.3490 6.4726 Å, 106.03 106.03 36.90°
Atoms (fractional coordinates):
Li 0.0000 0.0000 0.0000
Li 0.1189 0.1189 0.6969
V 0.4483 0.4483 0.6156
V 0.6695 0.6695 0.0421
V 0.7714 0.7714 0.6319
Fe 0.3457 0.3457 0.0280
O 0.1750 0.1750 0.0222
O 0.2929 0.2929 0.6821
O 0.4123 0.4123 0.3465
O 0.5117 0.5117 0.9876
O 0.6206 0.6206 0.6998
O 0.7143 0.7143 0.3530
O 0.8225 0.8225 0.9851
O 0.9407 0.9407 0.6686

---

This entry pairs a crystal structure of Li2VFe3O8 with its computed powder diffractogram. Radiation: Cu Ka. Structure: the GGA+U geometry in the Materials Project.
Intensities are scaled so that the largest is 100.

Most intense lines, 15 to 90 degrees two-theta, by angle:
| Position (°2θ) | I/Imax |
| --- | --- |
| 18.1 | 100 |
| 18.2 | 31 |
| 35.1 | 48 |
| 35.2 | 16 |
| 36.7 | 11 |
| 42.7 | 75 |
| 46.7 | 7 |
| 56.4 | 20 |
| 61.8 | 22 |
| 62.1 | 22 |
| 64.9 | 10 |
| 78.0 | 9 |

Cell: 5.9821 5.9821 5.9821 Å, 60.29 60.29 60.29°
Atoms (fractional coordinates):
Li 0.1298 0.1298 0.1298
Li 0.8702 0.8702 0.8702
V 0.5000 0.5000 0.5000
Fe 0.0000 0.5000 0.5000
Fe 0.5000 0.0000 0.5000
Fe 0.5000 0.5000 0.0000
O 0.2645 0.2645 0.2645
O 0.2723 0.2723 0.7146
O 0.2723 0.7146 0.2723
O 0.2854 0.7277 0.7277
O 0.7146 0.2723 0.2723
O 0.7277 0.2854 0.7277
O 0.7277 0.7277 0.2854
O 0.7355 0.7355 0.7355

---

This entry pairs a crystal structure of Li4V3Fe3W2O16 with its computed powder diffractogram. Radiation: Cu Ka. Structure: the GGA+U geometry in the Materials Project.
Intensities are scaled so that the largest is 100.

Most intense lines, 15 to 90 degrees two-theta, by angle:
| Position (°2θ) | I/Imax |
| --- | --- |
| 16.9 | 22 |
| 19.1 | 100 |
| 19.3 | 100 |
| 24.7 | 32 |
| 29.5 | 25 |
| 32.1 | 23 |
| 32.4 | 23 |
| 34.6 | 28 |
| 34.8 | 29 |
| 35.1 | 29 |
| 35.4 | 23 |
| 61.3 | 31 |

Cell: 6.0484 6.0484 9.8202 Å, 90.82 90.82 60.05°
Atoms (fractional coordinates):
Li 0.0000 0.0000 0.0000
Li 0.0014 0.0014 0.5008
Li 0.3418 0.3418 0.5823
Li 0.6738 0.6738 0.0840
V 0.1693 0.6579 0.2726
V 0.6579 0.1693 0.2726
V 0.8273 0.8273 0.7666
Fe 0.1723 0.1723 0.2774
Fe 0.3406 0.8304 0.7767
Fe 0.8304 0.3406 0.7767
W 0.3327 0.3327 0.0002
W 0.6665 0.6665 0.4999
O 0.0450 0.4979 0.1366
O 0.1702 0.6504 0.9005
O 0.1739 0.1739 0.9080
O 0.3407 0.3407 0.3807
O 0.3484 0.8219 0.4033
O 0.4834 0.4834 0.1407
O 0.4979 0.0450 0.1366
O 0.5287 0.5287 0.6305
O 0.5400 0.9646 0.6372
O 0.6504 0.1702 0.9005
O 0.6870 0.6870 0.8772
O 0.8219 0.3484 0.4033
O 0.8280 0.8280 0.3962
O 0.9646 0.5400 0.6372
O 0.9901 0.9901 0.6922
O 0.9992 0.9992 0.1883